Computed powder X-ray diffraction pattern
Compound: Al6B5O15F3
Radiation: Cu Kα (λ = 1.5418 Å)
Structure: DFT lattice parameters and positions (GGA-PBE)
No peak broadening, texture or thermal motion is included.

Most intense lines, 10 to 90 degrees two-theta, by angle:
2θ (°)	I_rel	hkl
20.54	1000	1 1 0
23.22	450	1 1 1
31.60	280	2 1 0
33.46	408	2 1 1
40.66	614	2 0 3
42.30	274	3 0 2
43.57	553	3 1 0
45.97	371	1 2 3
53.91	441	2 2 3
66.52	540	1 4 3

Structure:
abc: 8.649 8.649 8.263
angles: 90.00 90.00 120.00
Fractional coordinates of all 58 atoms:
Al  0.014  0.352  0.075
Al  0.014  0.352  0.425
Al  0.337  0.986  0.075
Al  0.337  0.986  0.425
Al  0.352  0.337  0.575
Al  0.352  0.337  0.925
Al  0.648  0.663  0.075
Al  0.648  0.663  0.425
Al  0.663  0.014  0.575
Al  0.663  0.014  0.925
Al  0.986  0.648  0.575
Al  0.986  0.648  0.925
B  0.002  0.233  0.750
B  0.230  0.998  0.750
B  0.233  0.230  0.250
B  0.333  0.667  0.552
B  0.333  0.667  0.948
B  0.667  0.333  0.052
B  0.667  0.333  0.448
B  0.767  0.770  0.750
B  0.770  0.002  0.250
B  0.998  0.767  0.250
O  0.088  0.804  0.102
O  0.088  0.804  0.398
O  0.117  0.815  0.750
O  0.151  0.562  0.553
O  0.151  0.562  0.947
O  0.185  0.303  0.750
O  0.196  0.284  0.102
O  0.196  0.284  0.398
O  0.284  0.088  0.602
O  0.284  0.088  0.898
O  0.303  0.117  0.250
O  0.411  0.849  0.553
O  0.411  0.849  0.947
O  0.438  0.589  0.553
O  0.438  0.589  0.947
O  0.562  0.411  0.053
O  0.562  0.411  0.447
O  0.589  0.151  0.053
O  0.589  0.151  0.447
O  0.697  0.883  0.750
O  0.716  0.912  0.102
O  0.716  0.912  0.398
O  0.804  0.716  0.602
O  0.804  0.716  0.898
O  0.815  0.697  0.250
O  0.849  0.438  0.053
O  0.849  0.438  0.447
O  0.883  0.185  0.250
O  0.912  0.196  0.602
O  0.912  0.196  0.898
F  0.111  0.498  0.250
F  0.388  0.889  0.250
F  0.498  0.388  0.750
F  0.502  0.612  0.250
F  0.612  0.111  0.750
F  0.889  0.502  0.750